(1)
Starting from a PBE-relaxed structure, the PXRD pattern of PmTm12Al3 was simulated for a wavelength of 1.5418 Å.
Intensities are scaled so that the largest is 100.

Main lines, low angle first (2θ from 5° to 70°):
h k l  2θ (°)  d/Å  Rel. int.
1 1 4  32.5  2.753  100
0 0 8  37.2  2.415  15
2 0 0  38.0  2.369  34
2 0 8  54.2  1.691  21
2 2 0  54.8  1.675  13
3 1 4  65.2  1.431  28

Crystal structure
Cell: 4.737 4.737 19.317 Å, 90.00 90.00 90.00°
Atoms (fractional coordinates):
1 Pm 0.000 0.000 0.000
2 Tm 0.000 0.500 0.136
3 Tm 0.000 0.500 0.379
4 Tm 0.000 0.500 0.621
5 Tm 0.000 0.500 0.864
6 Tm 0.500 0.000 0.136
7 Tm 0.500 0.000 0.379
8 Tm 0.500 0.000 0.621
9 Tm 0.500 0.000 0.864
10 Tm 0.500 0.500 0.000
11 Tm 0.500 0.500 0.259
12 Tm 0.500 0.500 0.500
13 Tm 0.500 0.500 0.741
14 Al 0.000 0.000 0.259
15 Al 0.000 0.000 0.500
16 Al 0.000 0.000 0.741

(2)
Starting from a PBE-relaxed structure, the PXRD pattern of Pm5TmAl2 was simulated for a wavelength of 1.5418 Å.
Intensities are scaled so that the largest is 100.

Main lines, low angle first (2θ from 5° to 70°):
h k l  2θ (°)  d/Å  Rel. int.
0 2 2  22.1  4.017  37
1 2 1  30.8  2.907  100
1 0 3  33.2  2.701  73
0 4 0  33.5  2.672  37
0 2 4  33.9  2.647  67
1 4 3  47.9  1.899  35

Crystal structure
Cell: 3.615 10.682 12.192 Å, 90.00 90.00 90.00°
Atoms (fractional coordinates):
1 Pm 0.000 0.000 0.000
2 Pm 0.000 0.281 0.359
3 Pm 0.000 0.281 0.641
4 Pm 0.000 0.719 0.359
5 Pm 0.000 0.719 0.641
6 Pm 0.500 0.219 0.141
7 Pm 0.500 0.219 0.859
8 Pm 0.500 0.500 0.500
9 Pm 0.500 0.781 0.141
10 Pm 0.500 0.781 0.859
11 Tm 0.000 0.500 0.000
12 Tm 0.500 0.000 0.500
13 Al 0.000 0.000 0.278
14 Al 0.000 0.000 0.722
15 Al 0.500 0.500 0.222
16 Al 0.500 0.500 0.778

(3)
Starting from a PBE-relaxed structure, the PXRD pattern of Pm2Tm2Al3 was simulated for a wavelength of 1.5418 Å.
Intensities are scaled so that the largest is 100.

Main lines, low angle first (2θ from 5° to 70°):
h k l  2θ (°)  d/Å  Rel. int.
0 8 0  23.3  3.817  72
0 0 1  25.9  3.443  70
1 7 0  33.1  2.703  100
0 8 1  35.1  2.557  85
1 1 1  37.0  2.427  69
1 7 1  42.5  2.126  57

Crystal structure
Cell: 3.443 30.540 3.443 Å, 90.00 90.00 90.00°
Atoms (fractional coordinates):
1 Pm 0.000 0.068 0.000
2 Pm 0.000 0.932 0.000
3 Pm 0.500 0.432 0.000
4 Pm 0.500 0.568 0.000
5 Tm 0.000 0.199 0.000
6 Tm 0.000 0.801 0.000
7 Tm 0.500 0.301 0.000
8 Tm 0.500 0.699 0.000
9 Al 0.000 0.362 0.500
10 Al 0.000 0.500 0.500
11 Al 0.000 0.638 0.500
12 Al 0.500 0.000 0.500
13 Al 0.500 0.138 0.500
14 Al 0.500 0.862 0.500

(4)
Starting from a PBE-relaxed structure, the PXRD pattern of PmY2Al6 was simulated for a wavelength of 1.5418 Å.
Intensities are scaled so that the largest is 100.

Main lines, low angle first (2θ from 5° to 70°):
h k l  2θ (°)  d/Å  Rel. int.
1 1 0  22.4  3.971  52
1 1 1  33.9  2.641  100
3 0 0  39.3  2.293  48
2 2 1  52.9  1.731  28
3 0 2  66.8  1.400  19
4 1 1  67.8  1.382  26

Crystal structure
Cell: 7.942 7.942 3.536 Å, 90.00 90.00 120.00°
Atoms (fractional coordinates):
1 Pm 0.000 0.000 0.000
2 Y 0.333 0.667 0.000
3 Y 0.667 0.333 0.000
4 Al 0.000 0.335 0.500
5 Al 0.000 0.665 0.500
6 Al 0.335 0.000 0.500
7 Al 0.335 0.335 0.500
8 Al 0.665 0.000 0.500
9 Al 0.665 0.665 0.500

Repeat the second record exactly.
Starting from a PBE-relaxed structure, the PXRD pattern of Pm5TmAl2 was simulated for a wavelength of 1.5418 Å.
Intensities are scaled so that the largest is 100.

Main lines, low angle first (2θ from 5° to 70°):
h k l  2θ (°)  d/Å  Rel. int.
0 2 2  22.1  4.017  37
1 2 1  30.8  2.907  100
1 0 3  33.2  2.701  73
0 4 0  33.5  2.672  37
0 2 4  33.9  2.647  67
1 4 3  47.9  1.899  35

Crystal structure
Cell: 3.615 10.682 12.192 Å, 90.00 90.00 90.00°
Atoms (fractional coordinates):
1 Pm 0.000 0.000 0.000
2 Pm 0.000 0.281 0.359
3 Pm 0.000 0.281 0.641
4 Pm 0.000 0.719 0.359
5 Pm 0.000 0.719 0.641
6 Pm 0.500 0.219 0.141
7 Pm 0.500 0.219 0.859
8 Pm 0.500 0.500 0.500
9 Pm 0.500 0.781 0.141
10 Pm 0.500 0.781 0.859
11 Tm 0.000 0.500 0.000
12 Tm 0.500 0.000 0.500
13 Al 0.000 0.000 0.278
14 Al 0.000 0.000 0.722
15 Al 0.500 0.500 0.222
16 Al 0.500 0.500 0.778